The following is a calculated powder X-ray diffraction pattern of Ac2HfFeO6. It was derived from a structure optimized by DFT (PBE+U), using Cu Kα, 1.54184 Å.
Kinematic intensities with the Lorentz-polarization factor, no thermal factor.

Structural model:
```
10
Lattice="5.754 0.000 0.000 -2.870 5.120 0.000 -2.871 -1.721 4.836" Properties=species:S:1:pos:R:3 pbc="T T T"
Ac -1.433 0.867 1.280
Ac 1.446 2.531 3.556
Hf 1.442 2.560 0.000
Fe 1.441 -0.860 2.418
O -2.862 0.376 3.398
O 1.435 0.598 0.709
O 0.011 3.031 1.438
O 0.002 0.368 3.398
O -1.422 2.801 4.128
O 2.875 3.023 1.438
```

Most intense lines, 2θ = 15–90°, low angle first:
(1 0 0), 21.55 deg, I = 8.0; (0 1 1), 30.24 deg, I = 23.0; (1 0 -2), 30.42 deg, I = 100.0; (-2 1 1), 31.09 deg, I = 23.3; (0 2 -2), 43.20 deg, I = 12.1; (2 0 0), 43.87 deg, I = 12.4; (-2 2 2), 43.97 deg, I = 12.3; (0 3 -1), 53.75 deg, I = 16.9; (-1 3 1), 53.89 deg, I = 11.1; (2 1 -3), 54.17 deg, I = 11.5; (3 -2 0), 54.87 deg, I = 14.9; (2 -4 0), 63.37 deg, I = 7.4